For Na2Li4Co2C4SO16, a DFT-relaxed cell (PBE+U, the Materials Project) gives the computed powder X-ray diffraction pattern in this record (Cu Kα X-rays).

Most intense lines, 15 to 90 degrees two-theta, by angle:
- 2θ = 18.52°, rel. 35
- 2θ = 21.31°, rel. 100
- 2θ = 22.07°, rel. 70
- 2θ = 25.63°, rel. 43
- 2θ = 33.57°, rel. 72
- 2θ = 35.08°, rel. 23
- 2θ = 37.52°, rel. 46
- 2θ = 39.72°, rel. 35
- 2θ = 43.39°, rel. 22
- 2θ = 59.35°, rel. 21

Structural model:
Lattice parameters (Å, degrees): 9.8255 9.6058 9.5930 61.56 59.28 59.15
Fractional coordinates of all 58 atoms:
Na (0.0971, 0.0971, 0.6529)
Na (0.3471, 0.3471, 0.9029)
Na (0.6529, 0.6529, 0.0971)
Na (0.9029, 0.9029, 0.3471)
Li (0.0276, 0.4875, 0.8181)
Li (0.1667, 0.8181, 0.4875)
Li (0.1819, 0.8333, 0.9724)
Li (0.4875, 0.0276, 0.1667)
Li (0.5125, 0.9724, 0.8333)
Li (0.8181, 0.1667, 0.0276)
Li (0.8333, 0.1819, 0.5125)
Li (0.9724, 0.5125, 0.1819)
Co (0.0000, 0.5000, 0.5000)
Co (0.5000, 0.0000, 0.5000)
Co (0.5000, 0.5000, 0.0000)
Co (0.5000, 0.5000, 0.5000)
C (0.2737, 0.6634, 0.2857)
C (0.2772, 0.2857, 0.6634)
C (0.2857, 0.2772, 0.2737)
C (0.3366, 0.7263, 0.7228)
C (0.6634, 0.2737, 0.2772)
C (0.7143, 0.7228, 0.7263)
C (0.7228, 0.7143, 0.3366)
C (0.7263, 0.3366, 0.7143)
S (0.1250, 0.1250, 0.1250)
S (0.8750, 0.8750, 0.8750)
O (0.0596, 0.0644, 0.3150)
O (0.0610, 0.3150, 0.0644)
O (0.0644, 0.0596, 0.0610)
O (0.1275, 0.6782, 0.4072)
O (0.1382, 0.3069, 0.6596)
O (0.1428, 0.4036, 0.2933)
O (0.2871, 0.4072, 0.6782)
O (0.2933, 0.6603, 0.1428)
O (0.3069, 0.1382, 0.3953)
O (0.3150, 0.0610, 0.0596)
O (0.3218, 0.8725, 0.7129)
O (0.3404, 0.6047, 0.8618)
O (0.3397, 0.7067, 0.5964)
O (0.3953, 0.6596, 0.3069)
O (0.4036, 0.1428, 0.6603)
O (0.4072, 0.2871, 0.1275)
O (0.5928, 0.7129, 0.8725)
O (0.5964, 0.8572, 0.3397)
O (0.6047, 0.3404, 0.6931)
O (0.6603, 0.2933, 0.4036)
O (0.6596, 0.3953, 0.1382)
O (0.6782, 0.1275, 0.2871)
O (0.6850, 0.9390, 0.9404)
O (0.6931, 0.8618, 0.6047)
O (0.7067, 0.3397, 0.8572)
O (0.7129, 0.5928, 0.3218)
O (0.8572, 0.5964, 0.7067)
O (0.8618, 0.6931, 0.3404)
O (0.8725, 0.3218, 0.5928)
O (0.9356, 0.9404, 0.9390)
O (0.9390, 0.6850, 0.9356)
O (0.9404, 0.9356, 0.6850)